# Li4Co2Ni3O10
Calculated powder diffractogram, Cu Kα (weighted mean of Kα1 and Kα2). Input: a cell relaxed with PBE+U.

Main lines, in order of rising 2θ (10 to 80 degrees two-theta):
d = 6.892 Å, 2θ = 12.84°, rel. 100; d = 4.754 Å, 2θ = 18.66°, rel. 54; d = 4.690 Å, 2θ = 18.92°, rel. 98; d = 3.869 Å, 2θ = 22.99°, rel. 37; d = 3.260 Å, 2θ = 27.36°, rel. 46; d = 2.347 Å, 2θ = 38.34°, rel. 30; d = 2.063 Å, 2θ = 43.89°, rel. 70; d = 2.047 Å, 2θ = 44.26°, rel. 70; d = 2.020 Å, 2θ = 44.88°, rel. 66; d = 1.428 Å, 2θ = 65.35°, rel. 36

Crystal structure
```
data_Li4Co2Ni3O10
_chemical_formula_sum 'Li4 Co2 Ni3 O10'
_cell_length_a 4.998
_cell_length_b 5.051
_cell_length_c 7.589
_cell_angle_alpha 101.27
_cell_angle_beta 108.95
_cell_angle_gamma 101.34
_space_group_name_H-M_alt 'P -1'
_space_group_IT_number 2
loop_
_space_group_symop_operation_xyz
'x,y,z'
'-x,-y,-z'
loop_
_atom_site_label
_atom_site_type_symbol
_atom_site_fract_x
_atom_site_fract_y
_atom_site_fract_z
Li1 Li 0.083 0.274 0.093
Li2 Li 0.303 0.885 0.275
Co1 Co 0.307 0.398 0.809
Ni1 Ni 0.106 0.805 0.603
Ni2 Ni 0.500 0.500 0.500
O1 O 0.076 0.552 0.347
O2 O 0.101 0.074 0.832
O3 O 0.299 0.178 0.564
O4 O 0.324 0.610 0.048
O5 O 0.480 0.715 0.730
```